Structure and theoretical X-ray diffraction stick pattern of CaMn4O9 (a PBE+U-relaxed structure; CuKα).
Peak positions follow from Bragg's law for the DFT cell and can differ from measured ones.

The 12 most intense peaks (2θ = 10–80°), low angle first:
17.3 deg, I 74.3, (0 0 1)
22.8 deg, I 25.7, (1 1 1)
27.2 deg, I 14.3, (2 0 1)
29.2 deg, I 100.0, (1 2 1)
33.1 deg, I 56.7, (3 1 0)
42.6 deg, I 24.0, (1 2 2)
47.6 deg, I 39.8, (2 4 0)
51.0 deg, I 22.3, (2 4 1)
56.8 deg, I 19.4, (4 3 1)
59.4 deg, I 23.9, (1 2 3)
65.7 deg, I 13.2, (5 0 2)
79.4 deg, I 13.2, (4 3 3)

Structure:
Cell: 8.547 8.547 5.112 Å, 90.00 90.00 90.00°
Space group P4/n (No. 85, origin choice 2)
Unique sites:
Ca: 0.250 0.250 0.124
Mn: 0.033 0.839 0.394
O: 0.012 0.178 0.931
O: 0.042 0.356 0.470
O: 0.250 0.750 0.500

---

Structure and theoretical X-ray diffraction stick pattern of V3O5F (a PBE+U-relaxed structure; CuKα).
Peak positions follow from Bragg's law for the DFT cell and can differ from measured ones.

The 12 most intense peaks (2θ = 10–80°), low angle first:
27.3 deg, I 100.0, (0 1 3)
35.3 deg, I 54.1, (1 0 3)
40.5 deg, I 22.3, (1 1 3)
43.8 deg, I 3.3, (0 2 3)
43.9 deg, I 3.1, (0 1 6)
53.7 deg, I 55.6, (1 1 6)
56.4 deg, I 16.4, (0 2 6)
60.9 deg, I 10.1, (2 0 0)
63.9 deg, I 3.8, (0 1 9)
68.0 deg, I 11.7, (2 1 3)
68.2 deg, I 8.3, (1 3 0)
68.4 deg, I 10.1, (1 0 9)

Structure:
Cell: 3.043 4.625 13.819 Å, 90.00 90.00 90.00°
Space group Pmn2_1 (No. 31)
Unique sites:
V: 0.000 0.210 0.000
V: 0.000 0.218 0.315
V: 0.000 0.282 0.658
O: 0.000 0.520 0.227
O: 0.000 0.569 0.551
O: 0.000 0.937 0.090
O: 0.000 0.952 0.421
O: 0.000 0.965 0.757
F: 0.000 0.559 0.888

---

Structure and theoretical X-ray diffraction stick pattern of Li3CrBO5 (a PBE+U-relaxed structure; CuKα).
Peak positions follow from Bragg's law for the DFT cell and can differ from measured ones.

The 12 most intense peaks (2θ = 10–80°), low angle first:
21.3 deg, I 100.0, (1 2 0)
21.9 deg, I 20.9, (0 4 0)
25.0 deg, I 98.2, (0 3 1)
26.9 deg, I 39.5, (1 1 1)
28.5 deg, I 29.9, (1 2 1)
33.1 deg, I 50.6, (1 5 0)
36.9 deg, I 35.1, (2 0 0)
38.1 deg, I 55.0, (0 0 2)
38.3 deg, I 26.7, (1 5 1)
51.3 deg, I 17.8, (1 5 2)
64.2 deg, I 19.0, (3 5 0)
69.0 deg, I 16.9, (1 5 3)

Structure:
Cell: 4.866 16.269 4.728 Å, 90.00 90.00 90.00°
Space group Pna2_1 (No. 33)
Unique sites:
Li: 0.158 0.208 0.000
Li: 0.179 0.994 0.011
Li: 0.199 0.612 0.011
Cr: 0.170 0.397 0.013
B: 0.189 0.792 0.998
O: 0.109 0.226 0.591
O: 0.181 0.605 0.584
O: 0.189 0.803 0.687
O: 0.208 0.995 0.592
O: 0.227 0.373 0.626

---

Structure and theoretical X-ray diffraction stick pattern of Li4Fe7O2F14 (a PBE+U-relaxed structure; CuKα).
Peak positions follow from Bragg's law for the DFT cell and can differ from measured ones.

The 12 most intense peaks (2θ = 10–80°), low angle first:
16.7 deg, I 38.8, (1 0 0)
17.4 deg, I 38.0, (0 0 2)
17.9 deg, I 100.0, (1 -1 1)
21.8 deg, I 18.3, (0 1 1)
26.4 deg, I 16.0, (0 1 -3)
28.5 deg, I 25.9, (1 1 -1)
33.5 deg, I 18.5, (-1 1 3)
33.8 deg, I 90.0, (0 2 -2)
41.1 deg, I 50.0, (-2 2 2)
44.6 deg, I 42.9, (2 0 -4)
46.7 deg, I 17.2, (1 -3 3)
54.4 deg, I 20.1, (2 0 4)

Structure:
Cell: 6.147 6.156 10.764 Å, 105.69 91.43 118.72°
Space group P1 (No. 1)
Unique sites:
Li: 0.000 0.000 0.000
Li: 0.003 0.513 0.501
Li: 0.733 0.832 0.388
Li: 0.752 0.362 0.891
Fe: 0.376 0.425 0.693
Fe: 0.377 0.697 0.934
Fe: 0.387 0.187 0.446
Fe: 0.389 0.953 0.186
Fe: 0.392 0.430 0.195
Fe: 0.850 0.432 0.195
Fe: 0.872 0.934 0.691
O: 0.601 0.513 0.319
O: 0.606 0.293 0.081
F: 0.099 0.059 0.811
F: 0.122 0.049 0.319
F: 0.123 0.306 0.573
F: 0.125 0.839 0.556
F: 0.128 0.801 0.064
F: 0.140 0.347 0.072
F: 0.141 0.530 0.819
F: 0.145 0.580 0.297
F: 0.610 0.799 0.065
F: 0.617 0.045 0.322
F: 0.618 0.561 0.818
F: 0.620 0.330 0.572
F: 0.627 0.039 0.824
F: 0.636 0.795 0.580

---

Structure and theoretical X-ray diffraction stick pattern of MgV2Zn4O8 (a PBE+U-relaxed structure; CuKα).
Peak positions follow from Bragg's law for the DFT cell and can differ from measured ones.

The 12 most intense peaks (2θ = 10–80°), low angle first:
28.4 deg, I 28.0, (2 0 -2)
29.7 deg, I 47.6, (3 1 -1)
34.1 deg, I 46.0, (0 0 2)
34.2 deg, I 45.8, (3 1 0)
34.4 deg, I 42.5, (3 1 -2)
34.7 deg, I 100.0, (0 2 1)
35.2 deg, I 66.1, (2 2 -1)
41.2 deg, I 32.7, (4 0 0)
41.8 deg, I 50.0, (2 2 -2)
54.1 deg, I 31.6, (2 2 -3)
58.7 deg, I 44.7, (4 0 -4)
61.6 deg, I 50.4, (6 2 -2)

Structure:
Cell: 10.485 5.945 6.294 Å, 90.00 123.23 90.00°
Space group C2/m (No. 12)
Unique sites:
Mg: 0.000 0.000 0.000
V: 0.000 0.500 0.000
V: 0.000 0.500 0.500
Zn: 0.164 0.000 0.467
Zn: 0.250 0.250 0.000
O: 0.006 0.257 0.247
O: 0.226 0.500 0.179
O: 0.237 0.500 0.734

---

Structure and theoretical X-ray diffraction stick pattern of Li2VOF3 (a PBE+U-relaxed structure; CuKα).
Peak positions follow from Bragg's law for the DFT cell and can differ from measured ones.

The 12 most intense peaks (2θ = 10–80°), low angle first:
15.3 deg, I 19.4, (0 0 2)
19.3 deg, I 100.0, (0 1 1)
23.0 deg, I 17.5, (1 0 2)
25.9 deg, I 13.2, (1 1 1)
34.0 deg, I 34.9, (1 1 3)
39.1 deg, I 23.5, (2 1 0)
39.9 deg, I 51.6, (1 1 4)
50.7 deg, I 20.8, (2 2 0)
51.3 deg, I 31.3, (1 2 4)
61.7 deg, I 9.6, (3 1 3)
62.6 deg, I 15.6, (3 0 4)
67.1 deg, I 9.2, (2 3 1)

Structure:
Cell: 5.179 5.019 11.596 Å, 90.00 90.00 90.00°
Space group Pnc2 (No. 30)
Unique sites:
Li: 0.000 0.000 0.000
Li: 0.000 0.000 0.420
Li: 0.500 0.000 0.275
Li: 0.500 0.000 0.849
V: 0.000 0.000 0.685
V: 0.500 0.000 0.556
O: 0.179 0.200 0.567
F: 0.180 0.217 0.815
F: 0.328 0.722 0.930
F: 0.337 0.725 0.188

---

Structure and theoretical X-ray diffraction stick pattern of CaLa3Fe4O12 (a PBE+U-relaxed structure; CuKα).
Peak positions follow from Bragg's law for the DFT cell and can differ from measured ones.

The 12 most intense peaks (2θ = 10–80°), low angle first:
19.5 deg, I 5.4, (1 1 0)
22.6 deg, I 7.5, (0 2 0)
25.3 deg, I 5.5, (1 1 1)
32.2 deg, I 100.0, (1 2 -1)
37.9 deg, I 4.9, (2 1 1)
39.7 deg, I 12.4, (2 2 0)
46.2 deg, I 30.4, (0 4 0)
57.4 deg, I 40.5, (3 2 -1)
67.3 deg, I 7.5, (2 4 -2)
67.4 deg, I 7.8, (4 0 0)
76.6 deg, I 5.3, (3 2 -3)
76.6 deg, I 8.7, (1 6 -1)

Structure:
Cell: 5.559 7.864 5.568 Å, 90.00 90.06 90.00°
Space group Pm (No. 6)
Unique sites:
Ca: 0.000 0.000 0.000
La: 0.014 0.500 0.938
La: 0.502 0.500 0.437
La: 0.515 0.000 0.499
Fe: 0.007 0.246 0.468
Fe: 0.508 0.246 0.968
O: 0.085 0.000 0.446
O: 0.228 0.294 0.187
O: 0.291 0.292 0.684
O: 0.424 0.000 0.951
O: 0.583 0.500 0.980
O: 0.721 0.213 0.255
O: 0.792 0.208 0.753
O: 0.934 0.500 0.482